1.
Starting from a cell relaxed with GGA-PBE, the powder diffraction line list of K3Sn8Au3 was computed for Cu Kα (λ = 1.5418 Å).

Atomic structure:
```
K3Sn8Au3
1.0
8.9063 -2.5234 0.0000
8.9063 2.5234 0.0000
-6.1731 0.0000 8.6126
K Sn Au
3 8 3
direct
0.0000 0.0000 0.0000 K
0.2921 0.2921 0.2983 K
0.7079 0.7079 0.7017 K
0.1486 0.1486 0.4344 Sn
0.1523 0.1523 0.8687 Sn
0.3495 0.3495 0.9636 Sn
0.5003 0.5003 0.3262 Sn
0.4997 0.4997 0.6738 Sn
0.6505 0.6505 0.0364 Sn
0.8477 0.8477 0.1313 Sn
0.8514 0.8514 0.5656 Sn
0.0000 0.0000 0.5000 Au
0.3439 0.3439 0.6899 Au
0.6561 0.6561 0.3101 Au
```

Most intense lines, 2θ = 10–90°, by angle:
two_theta  I_rel
19.48  676
30.53  613
30.87  808
33.20  615
35.58  1000
37.26  647
38.99  630
39.64  437
40.14  553
52.47  491

---

2.
Starting from a cell relaxed with GGA-PBE, the powder diffraction line list of K2Sn3Au5 was computed for Cu Kα (λ = 1.5418 Å).

Atomic structure:
```
K2Sn3Au5
1.0
-5.5101 6.8106 3.4690
5.5101 -6.8106 3.4690
5.5101 6.8106 -3.4690
K Sn Au
4 6 10
direct
0.1318 0.2340 0.3659 K
0.3682 0.7340 0.1022 K
0.6318 0.2660 0.8978 K
0.8682 0.7660 0.6341 K
0.1404 0.9015 0.0419 Sn
0.2500 0.7500 0.5000 Sn
0.3596 0.4015 0.7611 Sn
0.6404 0.5985 0.2389 Sn
0.7500 0.2500 0.5000 Sn
0.8596 0.0985 0.9581 Sn
0.0301 0.7500 0.2801 Au
0.1050 0.6577 0.7627 Au
0.2500 0.2500 0.0000 Au
0.3950 0.1577 0.5527 Au
0.4699 0.7500 0.7199 Au
0.5301 0.2500 0.2801 Au
0.6050 0.8423 0.4473 Au
0.7500 0.7500 0.0000 Au
0.8950 0.3423 0.2373 Au
0.9699 0.2500 0.7199 Au
```

Most intense lines, 2θ = 10–90°, by angle:
two_theta  I_rel
16.09  654
19.97  737
30.46  1000
30.87  524
33.51  221
36.99  913
40.57  195
41.87  502
42.19  363
52.78  216

---

3.
Starting from a cell relaxed with GGA-PBE, the powder diffraction line list of K3Sn4Au was computed for Cu Kα (λ = 1.5418 Å).

Atomic structure:
```
K3Sn4Au
1.0
6.8395 0.0000 0.0000
0.0000 12.8160 0.0000
0.0000 0.0000 6.6558
K Sn Au
6 8 2
direct
0.2500 0.0019 0.1754 K
0.2500 0.2500 0.5531 K
0.2500 0.4981 0.1754 K
0.7500 0.5019 0.8246 K
0.7500 0.7500 0.4469 K
0.7500 0.9981 0.8246 K
0.0136 0.7500 0.9631 Sn
0.2500 0.6276 0.6714 Sn
0.2500 0.8724 0.6714 Sn
0.4864 0.7500 0.9631 Sn
0.5136 0.2500 0.0369 Sn
0.7500 0.1276 0.3286 Sn
0.7500 0.3724 0.3286 Sn
0.9864 0.2500 0.0369 Sn
0.2500 0.7500 0.3156 Au
0.7500 0.2500 0.6844 Au
```

Most intense lines, 2θ = 10–90°, by angle:
two_theta  I_rel
13.82  773
14.68  1000
24.76  203
29.36  302
32.59  386
33.70  464
34.15  189
36.25  297
37.72  212
43.46  228

---

4.
Starting from a cell relaxed with GGA-PBE, the powder diffraction line list of KSn2Au was computed for Cu Kα (λ = 1.5418 Å).

Atomic structure:
```
KSn2Au
1.0
2.3777 -8.3310 0.0000
2.3777 8.3310 0.0000
-1.8322 0.0000 6.8679
K Sn Au
2 4 2
direct
0.0636 0.9364 0.7500 K
0.9364 0.0636 0.2500 K
0.1566 0.4540 0.8771 Sn
0.4540 0.1566 0.3771 Sn
0.5460 0.8434 0.6229 Sn
0.8434 0.5460 0.1229 Sn
0.2927 0.7073 0.2500 Au
0.7073 0.2927 0.7500 Au
```

Most intense lines, 2θ = 10–90°, by angle:
two_theta  I_rel
10.62  1000
20.99  684
25.15  370
25.94  291
30.62  253
34.85  320
39.55  522
40.05  275
40.88  170
47.78  172